For NaTbEu2, a cell relaxed with GGA-PBE gives the calculated PXRD pattern in this record (Cu Kα X-rays).
Neutral-atom scattering factors, no anomalous dispersion.

Peak list (10 most intense, 2θ from 15° to 90°, sorted by position)
2θ 28.40, d 3.143, I 34
2θ 29.19, d 3.060, I 100
2θ 33.60, d 2.667, I 68
2θ 47.74, d 1.905, I 24
2θ 48.76, d 1.868, I 24
2θ 56.49, d 1.629, I 14
2θ 57.39, d 1.606, I 29
2θ 57.84, d 1.594, I 14
2θ 60.52, d 1.530, I 12
2θ 78.96, d 1.213, I 12

Structure:
```
data_NaTbEu2
_chemical_formula_sum 'Na3 Tb3 Eu6'
_space_group_name_H-M_alt 'R -3 m'
_space_group_IT_number 166
_space_group_name_Hall '-R 3 2"'
_cell_length_a 3.7354
_cell_length_b 3.7354
_cell_length_c 37.7115
_cell_angle_alpha 90.00
_cell_angle_beta 90.00
_cell_angle_gamma 120.00
loop_
_atom_site_label
_atom_site_fract_x
_atom_site_fract_y
_atom_site_fract_z
_atom_site_occupancy
Na1 0.0000 0.0000 0.0000 1
Tb1 0.0000 0.0000 0.5000 1
Eu1 0.0000 0.0000 0.2466 1
```

For MnBiS2Cl, a cell relaxed with GGA-PBE gives the calculated PXRD pattern in this record (Cu Kα X-rays).
Neutral-atom scattering factors, no anomalous dispersion.

Peak list (10 most intense, 2θ from 15° to 90°, sorted by position)
2θ 18.61, d 4.768, I 44
2θ 22.90, d 3.883, I 76
2θ 24.39, d 3.649, I 100
2θ 27.24, d 3.274, I 73
2θ 28.46, d 3.136, I 47
2θ 28.89, d 3.090, I 34
2θ 35.07, d 2.559, I 63
2θ 35.53, d 2.526, I 36
2θ 40.75, d 2.214, I 43
2θ 45.22, d 2.005, I 39

Structure:
```
data_MnBiS2Cl
_chemical_formula_sum 'Mn2 Bi2 S4 Cl2'
_space_group_name_H-M_alt 'P 1 21/m 1'
_space_group_IT_number 11
_cell_length_a 7.8446
_cell_length_b 4.1640
_cell_length_c 9.8740
_cell_angle_alpha 90.00
_cell_angle_beta 105.04
_cell_angle_gamma 90.00
loop_
_space_group_symop_operation_xyz
'x,y,z'
'-x,-y,-z'
'-x,y+1/2,-z'
'x,-y+1/2,z'
loop_
_atom_site_label
_atom_site_fract_x
_atom_site_fract_y
_atom_site_fract_z
_atom_site_occupancy
Mn1 0.0126 0.2500 0.1170 1
Bi1 0.2076 0.7500 0.4362 1
S1 0.0303 0.7500 0.6517 1
S2 0.1733 0.7500 0.1243 1
Cl1 0.4040 0.2500 0.6100 1
```

For Tm3Ge2O, a cell relaxed with GGA-PBE gives the calculated PXRD pattern in this record (Cu Kα X-rays).
Neutral-atom scattering factors, no anomalous dispersion.

Peak list (10 most intense, 2θ from 15° to 90°, sorted by position)
2θ 26.21, d 3.401, I 100
2θ 27.40, d 3.255, I 33
2θ 28.24, d 3.161, I 50
2θ 29.84, d 2.995, I 33
2θ 31.65, d 2.827, I 94
2θ 32.39, d 2.764, I 31
2θ 36.35, d 2.472, I 46
2θ 37.01, d 2.429, I 50
2θ 42.70, d 2.117, I 43
2θ 52.17, d 1.753, I 69

Structure:
```
data_Tm3Ge2O
_chemical_formula_sum 'Tm12 Ge8 O4'
_space_group_name_H-M_alt 'C m c m'
_space_group_IT_number 63
_space_group_name_Hall '-C 2c 2'
_cell_length_a 11.4094
_cell_length_b 7.5949
_cell_length_c 6.3206
_cell_angle_alpha 90.00
_cell_angle_beta 90.00
_cell_angle_gamma 90.00
loop_
_atom_site_label
_atom_site_fract_x
_atom_site_fract_y
_atom_site_fract_z
_atom_site_occupancy
Tm1 0.0000 0.0000 0.0000 1
Tm2 0.1634 0.3480 0.2500 1
Ge1 0.1108 0.2888 0.7500 1
O1 0.0000 0.1995 0.2500 1
```